Diffraction record for LiCoIrO6. The powder X-ray diffraction pattern is theoretical, not measured: it uses the PBE+U geometry in Alexandria and CuKα.
Intensities are scaled so that the largest is 100.

a = 5.0041 Å, b = 5.0041 Å, c = 9.0100 Å
α = 90.00°, β = 90.00°, γ = 120.00°
Space group P-31c (No. 163)
One atom of each set of equivalent atoms:
1 Li 0.0000 0.0000 0.0000 (multiplicity 2)
2 Co 0.3333 0.6667 0.2500 (multiplicity 2)
3 Ir 0.3333 0.6667 0.7500 (multiplicity 2)
4 O 0.0045 0.3710 0.1358 (multiplicity 12)

Principal peaks in the range 10° ≤ 2θ ≤ 90°, sorted by position:
| two_theta | Rel. int. | h k l |
| --- | --- | --- |
| 19.71 | 100 | 0 0 2 |
| 20.49 | 72 | 1 0 0 |
| 22.77 | 71 | 1 0 1 |
| 28.58 | 63 | 1 0 2 |
| 35.89 | 43 | 1 1 0 |
| 36.40 | 23 | 1 0 3 |
| 41.27 | 84 | 1 1 2 |
| 54.84 | 50 | 1 1 4 |
| 64.51 | 18 | 3 0 0 |
| 68.17 | 19 | 3 0 2 |